Diffraction record for Fe2SbP3O12. The powder X-ray diffraction pattern is simulated, not measured: it uses DFT lattice parameters and positions (PBE+U) and Cu Kα.
Intensities are scaled so that the largest is 100.

Peak list (10 most intense, 2θ from 15° to 90°, by angle)
| 2θ (°) | d [Å] | Rel. int. |
| --- | --- | --- |
| 20.44 | 4.345 | 100 |
| 23.84 | 3.733 | 59 |
| 25.03 | 3.558 | 25 |
| 32.04 | 2.793 | 94 |
| 35.79 | 2.509 | 37 |
| 43.80 | 2.067 | 17 |
| 46.04 | 1.971 | 26 |
| 48.79 | 1.866 | 33 |
| 55.99 | 1.642 | 24 |
| 61.97 | 1.497 | 25 |

Structural model:
Lattice parameters (Å, degrees): 8.8519 8.8519 8.8519 58.79 58.79 58.79
Fractional coordinates of all 36 atoms:
Fe 0.1492 0.1492 0.1492
Fe 0.3508 0.3508 0.3508
Fe 0.6492 0.6492 0.6492
Fe 0.8508 0.8508 0.8508
Sb 0.0000 0.0000 0.0000
Sb 0.5000 0.5000 0.5000
P 0.0407 0.7500 0.4593
P 0.2500 0.5407 0.9593
P 0.4593 0.0407 0.7500
P 0.5407 0.9593 0.2500
P 0.7500 0.4593 0.0407
P 0.9593 0.2500 0.5407
O 0.0071 0.8027 0.6162
O 0.0600 0.9171 0.2668
O 0.0829 0.7332 0.9400
O 0.1162 0.3027 0.5071
O 0.1973 0.3838 0.9929
O 0.2332 0.5829 0.4400
O 0.2668 0.0600 0.9171
O 0.3027 0.5071 0.1162
O 0.3838 0.9929 0.1973
O 0.4171 0.5600 0.7668
O 0.4400 0.2332 0.5829
O 0.4929 0.8838 0.6973
O 0.5071 0.1162 0.3027
O 0.5600 0.7668 0.4171
O 0.5829 0.4400 0.2332
O 0.6162 0.0071 0.8027
O 0.6973 0.4929 0.8838
O 0.7332 0.9400 0.0829
O 0.7668 0.4171 0.5600
O 0.8027 0.6162 0.0071
O 0.8838 0.6973 0.4929
O 0.9171 0.2668 0.0600
O 0.9400 0.0829 0.7332
O 0.9929 0.1973 0.3838

---

Diffraction record for Fe5SbP6O24. The powder X-ray diffraction pattern is simulated, not measured: it uses DFT lattice parameters and positions (PBE+U) and Cu Kα.
Intensities are scaled so that the largest is 100.

Peak list (10 most intense, 2θ from 15° to 90°, by angle)
| 2θ (°) | d [Å] | Rel. int. |
| --- | --- | --- |
| 20.44 | 4.345 | 100 |
| 20.73 | 4.286 | 22 |
| 24.15 | 3.685 | 82 |
| 33.00 | 2.714 | 69 |
| 35.79 | 2.509 | 42 |
| 47.30 | 1.922 | 31 |
| 49.48 | 1.842 | 26 |
| 55.99 | 1.642 | 26 |
| 56.48 | 1.629 | 15 |
| 62.55 | 1.485 | 20 |

Structural model:
Lattice parameters (Å, degrees): 8.5728 8.5728 8.5728 60.91 60.91 60.91
Fractional coordinates of all 36 atoms:
Fe 0.0000 0.0000 0.0000
Fe 0.1387 0.1387 0.1387
Fe 0.3503 0.3503 0.3503
Fe 0.4938 0.4938 0.4938
Fe 0.6363 0.6363 0.6363
Sb 0.8519 0.8519 0.8519
P 0.0397 0.4495 0.7393
P 0.2465 0.9498 0.5338
P 0.4495 0.7393 0.0397
P 0.5338 0.2465 0.9498
P 0.7393 0.0397 0.4495
P 0.9498 0.5338 0.2465
O 0.0044 0.6087 0.8073
O 0.0520 0.2584 0.9035
O 0.0811 0.9343 0.7382
O 0.1064 0.5028 0.3047
O 0.1723 0.9901 0.3850
O 0.2351 0.4370 0.5835
O 0.2584 0.9035 0.0520
O 0.3047 0.1064 0.5028
O 0.3850 0.1723 0.9901
O 0.3995 0.7516 0.5573
O 0.4370 0.5835 0.2351
O 0.4982 0.6729 0.8824
O 0.5028 0.3047 0.1064
O 0.5573 0.3995 0.7516
O 0.5835 0.2351 0.4370
O 0.6087 0.8073 0.0044
O 0.6729 0.8824 0.4982
O 0.7382 0.0811 0.9343
O 0.7516 0.5573 0.3995
O 0.8073 0.0044 0.6087
O 0.8824 0.4981 0.6729
O 0.9035 0.0520 0.2584
O 0.9343 0.7382 0.0811
O 0.9901 0.3850 0.1723

---

Repeat the first record exactly.
Diffraction record for Fe2SbP3O12. The powder X-ray diffraction pattern is simulated, not measured: it uses DFT lattice parameters and positions (PBE+U) and Cu Kα.
Intensities are scaled so that the largest is 100.

Peak list (10 most intense, 2θ from 15° to 90°, by angle)
| 2θ (°) | d [Å] | Rel. int. |
| --- | --- | --- |
| 20.44 | 4.345 | 100 |
| 23.84 | 3.733 | 59 |
| 25.03 | 3.558 | 25 |
| 32.04 | 2.793 | 94 |
| 35.79 | 2.509 | 37 |
| 43.80 | 2.067 | 17 |
| 46.04 | 1.971 | 26 |
| 48.79 | 1.866 | 33 |
| 55.99 | 1.642 | 24 |
| 61.97 | 1.497 | 25 |

Structural model:
Lattice parameters (Å, degrees): 8.8519 8.8519 8.8519 58.79 58.79 58.79
Fractional coordinates of all 36 atoms:
Fe 0.1492 0.1492 0.1492
Fe 0.3508 0.3508 0.3508
Fe 0.6492 0.6492 0.6492
Fe 0.8508 0.8508 0.8508
Sb 0.0000 0.0000 0.0000
Sb 0.5000 0.5000 0.5000
P 0.0407 0.7500 0.4593
P 0.2500 0.5407 0.9593
P 0.4593 0.0407 0.7500
P 0.5407 0.9593 0.2500
P 0.7500 0.4593 0.0407
P 0.9593 0.2500 0.5407
O 0.0071 0.8027 0.6162
O 0.0600 0.9171 0.2668
O 0.0829 0.7332 0.9400
O 0.1162 0.3027 0.5071
O 0.1973 0.3838 0.9929
O 0.2332 0.5829 0.4400
O 0.2668 0.0600 0.9171
O 0.3027 0.5071 0.1162
O 0.3838 0.9929 0.1973
O 0.4171 0.5600 0.7668
O 0.4400 0.2332 0.5829
O 0.4929 0.8838 0.6973
O 0.5071 0.1162 0.3027
O 0.5600 0.7668 0.4171
O 0.5829 0.4400 0.2332
O 0.6162 0.0071 0.8027
O 0.6973 0.4929 0.8838
O 0.7332 0.9400 0.0829
O 0.7668 0.4171 0.5600
O 0.8027 0.6162 0.0071
O 0.8838 0.6973 0.4929
O 0.9171 0.2668 0.0600
O 0.9400 0.0829 0.7332
O 0.9929 0.1973 0.3838